[1]
Nd8Sm2Er3: theoretical powder X-ray diffraction pattern (Cu Kα (λ = 1.5418 Å)), based on the PBE geometry in Alexandria.

Peak list (8 most intense, 5° ≤ 2θ ≤ 70°, low angle first)
2θ/deg	I (rel.)	hkl
29.10	20	2 0 -2
29.64	38	2 2 1
30.35	56	0 4 0
30.57	29	1 1 -2
30.86	100	4 2 -1
32.66	25	3 1 1
37.58	18	1 3 -2
54.25	18	4 6 -1

Cell and atoms:
```
data_Nd8Sm2Er3
_cell_length_a 13.4764
_cell_length_b 11.7799
_cell_length_c 6.1477
_cell_angle_alpha 90.00
_cell_angle_beta 113.82
_cell_angle_gamma 90.00
_space_group_name_H-M_alt 'C 1 2/m 1'
_space_group_IT_number 12
loop_
_space_group_symop_operation_xyz
'x,y,z'
'-x,-y,-z'
'-x,y,-z'
'x,-y,z'
'x+1/2,y+1/2,z'
'-x+1/2,-y+1/2,-z'
'-x+1/2,y+1/2,-z'
'x+1/2,-y+1/2,z'
loop_
_atom_site_label
_atom_site_type_symbol
_atom_site_fract_x
_atom_site_fract_y
_atom_site_fract_z
_atom_site_occupancy
Nd1 Nd 0.0857 0.0000 0.2590 1
Nd2 Nd 0.1384 0.5000 0.6083 1
Nd3 Nd 0.1615 0.2616 0.1547 1
Sm1 Sm 0.1881 0.0000 0.8365 1
Er1 Er 0.0000 0.2332 0.5000 1
Er2 Er 0.0000 0.5000 0.0000 1
```

=====

[2]
NdSm4Er5: theoretical powder X-ray diffraction pattern (Cu Kα (λ = 1.5418 Å)), based on the PBE geometry in Alexandria.

Peak list (8 most intense, 5° ≤ 2θ ≤ 70°, low angle first)
2θ/deg	I (rel.)	hkl
26.15	37	0 1 3
26.98	43	1 0 1
31.30	55	0 3 0
31.83	25	0 2 -3
32.14	35	0 0 4
33.86	100	1 1 -2
33.92	97	-1 2 2
48.60	29	1 -1 5

Cell and atoms:
```
data_NdSm4Er5
_cell_length_a 3.5333
_cell_length_b 8.7519
_cell_length_c 11.1398
_cell_angle_alpha 90.20
_cell_angle_beta 90.05
_cell_angle_gamma 101.63
_space_group_name_H-M_alt 'P -1'
_space_group_IT_number 2
loop_
_space_group_symop_operation_xyz
'x,y,z'
'-x,-y,-z'
loop_
_atom_site_label
_atom_site_type_symbol
_atom_site_fract_x
_atom_site_fract_y
_atom_site_fract_z
_atom_site_occupancy
Nd1 Nd 0.0000 0.0000 0.0000 1
Sm1 Sm 0.1528 0.3106 0.2498 1
Sm2 Sm 0.4688 0.9396 0.2525 1
Er1 Er 0.0000 0.0000 0.5000 1
Er2 Er 0.3266 0.6504 0.0528 1
Er3 Er 0.3274 0.6539 0.4524 1
```

=====

[3]
Nd6SmEr6: theoretical powder X-ray diffraction pattern (Cu Kα (λ = 1.5418 Å)), based on the PBE geometry in Alexandria.

Peak list (8 most intense, 5° ≤ 2θ ≤ 70°, low angle first)
2θ/deg	I (rel.)	hkl
28.82	100	1 3 -1
29.67	42	0 0 2
29.84	81	2 0 0
31.93	52	2 0 -2
32.11	38	0 4 0
33.83	58	0 2 2
34.02	74	2 2 0
34.94	39	1 3 1

Cell and atoms:
```
data_Nd6SmEr6
_cell_length_a 6.6128
_cell_length_b 11.1516
_cell_length_c 6.6595
_cell_angle_alpha 90.00
_cell_angle_beta 115.27
_cell_angle_gamma 90.00
_space_group_name_H-M_alt 'P 1 2/m 1'
_space_group_IT_number 10
loop_
_space_group_symop_operation_xyz
'x,y,z'
'-x,-y,-z'
'-x,y,-z'
'x,-y,z'
loop_
_atom_site_label
_atom_site_type_symbol
_atom_site_fract_x
_atom_site_fract_y
_atom_site_fract_z
_atom_site_occupancy
Nd1 Nd 0.0000 0.1711 0.0000 1
Nd2 Nd 0.2727 0.0000 0.7413 1
Nd3 Nd 0.3339 0.5000 0.6154 1
Sm1 Sm 0.0000 0.5000 0.0000 1
Er1 Er 0.0000 0.2670 0.5000 1
Er2 Er 0.5000 0.1993 0.5000 1
Er3 Er 0.5000 0.2830 0.0000 1
```

=====

[4]
TbNd2Sm3Er6: theoretical powder X-ray diffraction pattern (Cu Kα (λ = 1.5418 Å)), based on the PBE geometry in Alexandria.

Peak list (8 most intense, 5° ≤ 2θ ≤ 70°, low angle first)
2θ/deg	I (rel.)	hkl
30.65	100	1 3 1
30.93	33	0 0 4
35.62	67	2 0 2
51.08	24	0 6 0
51.44	24	1 3 5
60.76	14	4 0 0
60.92	28	3 3 3
61.24	14	2 0 6

Cell and atoms:
```
data_TbNd2Sm3Er6
_cell_length_a 6.1951
_cell_length_b 10.7258
_cell_length_c 11.7470
_cell_angle_alpha 90.00
_cell_angle_beta 100.08
_cell_angle_gamma 90.00
_space_group_name_H-M_alt 'C 1 2/m 1'
_space_group_IT_number 12
loop_
_space_group_symop_operation_xyz
'x,y,z'
'-x,-y,-z'
'-x,y,-z'
'x,-y,z'
'x+1/2,y+1/2,z'
'-x+1/2,-y+1/2,-z'
'-x+1/2,y+1/2,-z'
'x+1/2,-y+1/2,z'
loop_
_atom_site_label
_atom_site_type_symbol
_atom_site_fract_x
_atom_site_fract_y
_atom_site_fract_z
_atom_site_occupancy
Tb1 Tb 0.0000 0.0000 0.0000 1
Nd1 Nd 0.0000 0.3334 0.0000 1
Sm1 Sm 0.0000 0.1667 0.5000 1
Sm2 Sm 0.0000 0.5000 0.5000 1
Er1 Er 0.2490 0.0000 0.7494 1
Er2 Er 0.2504 0.1665 0.2504 1
```

=====

[5]
TbNdSmEr3: theoretical powder X-ray diffraction pattern (Cu Kα (λ = 1.5418 Å)), based on the PBE geometry in Alexandria.

Peak list (5 most intense, 5° ≤ 2θ ≤ 70°, low angle first)
2θ/deg	I (rel.)	hkl
30.72	100	1 3 2
35.61	51	2 0 0
51.25	36	2 0 4
60.95	43	3 3 2
63.97	12	2 6 4

Cell and atoms:
```
data_TbNdSmEr3
_cell_length_a 5.0395
_cell_length_b 15.1242
_cell_length_c 10.0888
_cell_angle_alpha 90.00
_cell_angle_beta 90.00
_cell_angle_gamma 90.00
_space_group_name_H-M_alt 'C m c m'
_space_group_IT_number 63
_space_group_name_Hall '-C 2c 2'
loop_
_atom_site_label
_atom_site_type_symbol
_atom_site_fract_x
_atom_site_fract_y
_atom_site_fract_z
_atom_site_occupancy
Tb1 Tb 0.0000 0.1683 0.2500 1
Nd1 Nd 0.0000 0.0000 0.0000 1
Sm1 Sm 0.0000 0.4997 0.2500 1
Er1 Er 0.0000 0.1678 0.7500 1
Er2 Er 0.0000 0.3315 0.9999 1
```

=====

[6]
Nd6SmEr2Tm: theoretical powder X-ray diffraction pattern (Cu Kα (λ = 1.5418 Å)), based on the PBE geometry in Alexandria.

Peak list (8 most intense, 5° ≤ 2θ ≤ 70°, low angle first)
2θ/deg	I (rel.)	hkl
27.78	25	2 2 -2
28.17	42	1 3 2
29.97	56	3 1 -1
30.41	66	0 2 3
30.82	100	2 2 2
31.10	40	2 4 -1
31.90	24	1 5 -1
33.63	38	1 3 -3

Cell and atoms:
```
data_Nd6SmEr2Tm
_cell_length_a 9.3079
_cell_length_b 15.2791
_cell_length_c 9.6167
_cell_angle_alpha 90.00
_cell_angle_beta 96.93
_cell_angle_gamma 90.00
_space_group_name_H-M_alt 'C 1 2/c 1'
_space_group_IT_number 15
loop_
_space_group_symop_operation_xyz
'x,y,z'
'-x,-y,-z'
'-x,y,-z+1/2'
'x,-y,z+1/2'
'x+1/2,y+1/2,z'
'-x+1/2,-y+1/2,-z'
'-x+1/2,y+1/2,-z+1/2'
'x+1/2,-y+1/2,z+1/2'
loop_
_atom_site_label
_atom_site_type_symbol
_atom_site_fract_x
_atom_site_fract_y
_atom_site_fract_z
_atom_site_occupancy
Nd1 Nd 0.0608 0.1772 0.4452 1
Nd2 Nd 0.0967 0.3898 0.6170 1
Nd3 Nd 0.2162 0.2222 0.8125 1
Sm1 Sm 0.0000 0.0287 0.7500 1
Er1 Er 0.2483 0.4514 0.9521 1
Tm1 Tm 0.0000 0.4121 0.2500 1
```

=====

[7]
NdSmEr2Tm2: theoretical powder X-ray diffraction pattern (Cu Kα (λ = 1.5418 Å)), based on the PBE geometry in Alexandria.

Peak list (8 most intense, 5° ≤ 2θ ≤ 70°, low angle first)
2θ/deg	I (rel.)	hkl
26.81	35	0 1 1
29.08	100	2 2 0
30.33	81	0 6 0
30.45	97	0 3 1
31.42	34	1 2 1
34.08	58	2 4 0
36.12	34	1 4 1
41.30	79	2 3 1

Cell and atoms:
```
data_NdSmEr2Tm2
_cell_length_a 6.5481
_cell_length_b 17.6815
_cell_length_c 3.3855
_cell_angle_alpha 90.00
_cell_angle_beta 90.00
_cell_angle_gamma 90.00
_space_group_name_H-M_alt 'P n n m'
_space_group_IT_number 58
loop_
_space_group_symop_operation_xyz
'x,y,z'
'-x,-y,-z'
'-x,-y,z'
'x,y,-z'
'x+1/2,-y+1/2,-z+1/2'
'-x+1/2,y+1/2,z+1/2'
'-x+1/2,y+1/2,-z+1/2'
'x+1/2,-y+1/2,z+1/2'
loop_
_atom_site_label
_atom_site_type_symbol
_atom_site_fract_x
_atom_site_fract_y
_atom_site_fract_z
_atom_site_occupancy
Nd1 Nd 0.0000 0.0000 0.0000 1
Sm1 Sm 0.0000 0.5000 0.0000 1
Er1 Er 0.2262 0.1850 0.0000 1
Tm1 Tm 0.2245 0.3500 0.5000 1
```

=====

[8]
Nd2Sm2YEr: theoretical powder X-ray diffraction pattern (Cu Kα (λ = 1.5418 Å)), based on the PBE geometry in Alexandria.

Peak list (8 most intense, 5° ≤ 2θ ≤ 70°, low angle first)
2θ/deg	I (rel.)	hkl
25.12	11	2 0 0
31.05	84	2 1 1
31.36	100	0 2 0
40.59	19	2 2 0
44.71	31	2 2 2
55.63	32	2 3 1
55.83	19	0 3 3
61.60	29	4 2 0

Cell and atoms:
```
data_Nd2Sm2YEr
_cell_length_a 7.0908
_cell_length_b 5.6986
_cell_length_c 9.8916
_cell_angle_alpha 90.00
_cell_angle_beta 90.00
_cell_angle_gamma 90.00
_space_group_name_H-M_alt 'P m m a'
_space_group_IT_number 51
loop_
_space_group_symop_operation_xyz
'x,y,z'
'-x,-y,-z'
'-x+1/2,-y,z'
'x+1/2,y,-z'
'x+1/2,-y,-z'
'-x+1/2,y,z'
'-x,y,-z'
'x,-y,z'
loop_
_atom_site_label
_atom_site_type_symbol
_atom_site_fract_x
_atom_site_fract_y
_atom_site_fract_z
_atom_site_occupancy
Nd1 Nd 0.0000 0.0000 0.0000 1
Nd2 Nd 0.2500 0.5000 0.1761 1
Sm1 Sm 0.2500 0.0000 0.3308 1
Sm2 Sm 0.2500 0.5000 0.8379 1
Y1 Y 0.0000 0.5000 0.5000 1
Er1 Er 0.2500 0.0000 0.6597 1
```